(1)
Diffraction record for Na3Mg. The XRD peak list is computed, not measured: it uses a cell relaxed with GGA-PBE and Cu Kα (λ = 1.5418 Å).
Intensities are scaled so that the largest is 100.

Largest 8 diffraction maxima, most intense first, 10° ≤ 2θ ≤ 90°:
Position (°2θ)	Rel. int.
30.77	100.0
36.36	31.4
61.98	23.3
50.83	22.6
34.28	18.6
59.21	13.6
64.09	10.4
52.37	10.2

Cell and atoms:
```
Na3Mg
1.0
-2.4708 2.4708 5.2325
2.4708 -2.4708 5.2325
2.4708 2.4708 -5.2325
Na Mg
3 1
Direct
0.0000 0.0000 0.0000
0.2500 0.7500 0.5000
0.7500 0.2500 0.5000
0.5000 0.5000 0.0000
```

(2)
Diffraction record for NaMg3. The XRD peak list is computed, not measured: it uses a cell relaxed with GGA-PBE and Cu Kα (λ = 1.5418 Å).
Intensities are scaled so that the largest is 100.

Largest 6 diffraction maxima, most intense first, 10° ≤ 2θ ≤ 90°:
Position (°2θ)	Rel. int.
33.20	100.0
38.53	49.2
66.34	35.9
55.62	31.9
69.70	10.2
82.57	4.5

Cell and atoms:
```
NaMg3
1.0
4.6735 0.0000 0.0000
0.0000 4.6735 0.0000
0.0000 0.0000 4.6735
Na Mg
1 3
Direct
0.0000 0.0000 0.0000
0.0000 0.5000 0.5000
0.5000 0.0000 0.5000
0.5000 0.5000 0.0000
```

(3)
Diffraction record for Na3Mg. The XRD peak list is computed, not measured: it uses a cell relaxed with GGA-PBE and Cu Kα (λ = 1.5418 Å).
Intensities are scaled so that the largest is 100.

Largest 8 diffraction maxima, most intense first, 10° ≤ 2θ ≤ 90°:
Position (°2θ)	Rel. int.
30.61	100.0
35.49	49.8
60.73	36.9
51.07	32.9
83.26	12.7
85.94	11.6
63.73	10.4
75.13	4.4

Cell and atoms:
```
Na3Mg
1.0
5.0583 0.0000 0.0000
0.0000 5.0583 0.0000
0.0000 0.0000 5.0583
Na Mg
3 1
Direct
0.0000 0.0000 0.5000
0.0000 0.5000 0.0000
0.5000 0.0000 0.0000
0.5000 0.5000 0.5000
```

(4)
Diffraction record for NaMg3. The XRD peak list is computed, not measured: it uses a cell relaxed with GGA-PBE and Cu Kα (λ = 1.5418 Å).
Intensities are scaled so that the largest is 100.

Largest 8 diffraction maxima, most intense first, 10° ≤ 2θ ≤ 90°:
Position (°2θ)	Rel. int.
35.54	100.0
33.33	26.7
31.26	23.8
66.43	19.0
61.01	19.0
55.64	17.0
46.35	15.2
67.79	13.3

Cell and atoms:
```
NaMg3
1.0
6.6075 0.0000 0.0000
-3.3037 5.7223 0.0000
0.0000 0.0000 5.3759
Na Mg
2 6
Direct
0.3333 0.6667 0.2500
0.6667 0.3333 0.7500
0.1626 0.3253 0.7500
0.1626 0.8374 0.7500
0.3253 0.1626 0.2500
0.6747 0.8374 0.7500
0.8374 0.1626 0.2500
0.8374 0.6747 0.2500
```

(5)
Diffraction record for NaMg6Nb. The XRD peak list is computed, not measured: it uses a cell relaxed with GGA-PBE and Cu Kα (λ = 1.5418 Å).
Intensities are scaled so that the largest is 100.

Largest 8 diffraction maxima, most intense first, 10° ≤ 2θ ≤ 90°:
Position (°2θ)	Rel. int.
37.02	100.0
37.36	38.2
16.05	36.4
35.14	35.7
23.73	23.0
32.43	21.9
64.28	18.5
16.24	18.1

Cell and atoms:
```
NaMg6Nb
1.0
5.1074 0.0000 0.0000
0.0000 3.1998 5.4576
0.0000 -3.1998 5.4576
Na Mg Nb
1 6 1
Direct
0.0000 0.0000 0.0000
0.0000 0.4989 0.4989
0.0000 0.5212 0.9894
0.0000 0.9894 0.5212
0.5000 0.3283 0.3283
0.5000 0.3332 0.8319
0.5000 0.8319 0.3332
0.5000 0.8194 0.8194
```

(6)
Diffraction record for NaMg6Nb. The XRD peak list is computed, not measured: it uses a cell relaxed with GGA-PBE and Cu Kα (λ = 1.5418 Å).
Intensities are scaled so that the largest is 100.

Largest 8 diffraction maxima, most intense first, 10° ≤ 2θ ≤ 90°:
Position (°2θ)	Rel. int.
34.75	100.0
14.08	42.5
40.58	31.6
70.09	21.9
58.20	20.9
39.87	17.2
37.67	14.4
19.97	13.4

Cell and atoms:
```
NaMg6Nb
1.0
4.5221 0.0000 0.0000
0.0000 4.4436 4.4490
0.0000 -4.4436 4.4490
Na Mg Nb
1 6 1
Direct
0.0000 0.0000 0.0000
0.0000 0.0066 0.5012
0.0000 0.5012 0.0066
0.5000 0.2714 0.7405
0.5000 0.2736 0.2736
0.5000 0.7375 0.7375
0.5000 0.7405 0.2714
0.0000 0.5065 0.5065
```